# CoBi2IrO6
Calculated X-ray diffraction stick pattern, Cu Kα (weighted mean of Kα1 and Kα2). Input: a structure optimized by DFT (GGA+U).
Intensities are scaled so that the largest is 1000.

Top 10 peaks for 2θ = 5–70°, by angle:
| 2θ (°) | I (rel.) |
| --- | --- |
| 19.1 | 189 |
| 22.1 | 223 |
| 31.4 | 1000 |
| 31.5 | 923 |
| 37.0 | 102 |
| 45.1 | 431 |
| 50.8 | 207 |
| 55.9 | 654 |
| 56.2 | 136 |
| 65.5 | 144 |

Structure:
a b c (Å): 5.6796 5.6796 5.6796
angles (deg): 60.21 60.21 60.21
Atoms (fractional coordinates):
Co1 0.0000 0.0000 0.0000
Bi1 0.2693 0.2693 0.2693
Bi2 0.7734 0.7734 0.7734
Ir1 0.4906 0.4906 0.4906
O1 0.1554 0.7035 0.3369
O2 0.2131 0.6475 0.8251
O3 0.3369 0.1554 0.7035
O4 0.6475 0.8251 0.2131
O5 0.7035 0.3369 0.1554
O6 0.8251 0.2131 0.6475